Starting from the PBE geometry in the Materials Project, the PXRD pattern of NpAl2 was calculated for λ = 1.5418 Å (Cu Kα).
No peak broadening, texture or thermal motion is included.

Largest 10 diffraction maxima, in order of falling intensity, 10° ≤ 2θ ≤ 90°:
2θ/deg, d (Å), Rel. int., hkl
32.69, 2.740, 1000, 2 2 0
38.54, 2.336, 878, 3 1 1
19.85, 4.474, 760, 1 1 1
58.34, 1.582, 399, 4 2 2
62.26, 1.491, 295, 5 1 1
51.40, 1.778, 204, 3 3 1
68.50, 1.370, 187, 4 4 0
77.99, 1.225, 176, 6 2 0
72.12, 1.310, 153, 5 3 1
46.90, 1.937, 112, 4 0 0

Cell and atoms:
abc: 7.749 7.749 7.749
angles: 90.00 90.00 90.00
Space group Fd-3m (No. 227, origin choice 2)
Inequivalent atoms, fractional coordinates:
Np 0.125 0.125 0.125 [8 per cell]
Al 0.000 0.000 0.500 [16 per cell]